Computed powder diffraction line list of Ba2CdCoO5 for a wavelength of 1.5418 Å, from a cell relaxed with PBE+U.
Peak positions follow from Bragg's law for the DFT cell and can differ from measured ones.

Atomic structure:
```
data_Ba2CdCoO5
_chemical_formula_sum 'Ba8 Cd4 Co4 O20'
_symmetry_space_group_name_H-M 'C m c 21'
_symmetry_Int_Tables_number 36
_symmetry_space_group_name_Hall 'C 2c -2'
_cell_length_a 3.554
_cell_length_b 15.489
_cell_length_c 11.107
_cell_angle_alpha 90.00
_cell_angle_beta 90.00
_cell_angle_gamma 90.00
loop_
_atom_site_label
_atom_site_fract_x
_atom_site_fract_y
_atom_site_fract_z
Ba1 0.000 0.117 0.000
Ba2 0.000 0.135 0.651
Cd1 0.000 0.209 0.364
Co1 0.000 0.446 0.761
O1 0.000 0.036 0.326
O2 0.000 0.294 0.994
O3 0.000 0.333 0.720
O4 0.000 0.351 0.332
O5 0.000 0.499 0.619
```

Most intense lines, 2θ from 15° to 90°, low angle first:
two_theta, d (Å), intensity
22.97, 3.872, 22.2
26.69, 3.340, 88.5
28.09, 3.176, 32.2
30.41, 2.939, 24.1
30.54, 2.928, 49.0
31.61, 2.831, 48.5
35.49, 2.529, 100.0
35.71, 2.515, 47.3
41.97, 2.153, 33.0
51.39, 1.778, 37.5